Structure and calculated PXRD pattern of La5ThSb6 (a cell relaxed with GGA-PBE; Cu Kα (λ = 1.5418 Å)).
Intensities are scaled so that the largest is 100.

Largest 12 diffraction maxima, low angle first, 2θ from 10° to 90°:
2θ/deg, d (Å), Rel. int.
11.8, 7.519, 1
13.4, 6.602, 1
15.0, 5.888, 1
23.7, 3.758, 2
27.4, 3.255, 100
39.1, 2.301, 77
46.3, 1.963, 1
48.4, 1.879, 28
56.6, 1.627, 13
64.0, 1.456, 36
70.9, 1.329, 26
84.1, 1.151, 8

Cell and atoms:
```
La5ThSb6
1.0
3.986 -6.902 0.000
3.986 6.902 0.000
-2.656 0.000 7.519
La Th Sb
5 1 6
direct
0.000 0.000 0.000
0.166 0.834 0.500
0.332 0.668 0.000
0.668 0.332 0.000
0.834 0.166 0.500
0.500 0.500 0.500
0.089 0.418 0.253
0.255 0.255 0.748
0.418 0.089 0.253
0.582 0.911 0.747
0.745 0.745 0.252
0.911 0.582 0.747
```

***

Structure and calculated PXRD pattern of CdAs (a cell relaxed with GGA-PBE; Cu Kα (λ = 1.5418 Å)).
Intensities are scaled so that the largest is 100.

Largest 12 diffraction maxima, low angle first, 2θ from 10° to 90°:
2θ/deg, d (Å), Rel. int.
24.9, 3.574, 22
28.6, 3.122, 100
29.0, 3.083, 31
29.3, 3.047, 19
33.3, 2.687, 37
37.9, 2.374, 14
38.7, 2.329, 22
38.8, 2.319, 26
43.3, 2.088, 42
44.3, 2.043, 21
46.1, 1.968, 22
47.5, 1.914, 16

Cell and atoms:
```
CdAs
1.0
6.095 0.000 0.000
0.000 7.947 0.000
0.000 0.000 8.174
Cd As
8 8
direct
0.047 0.131 0.138
0.047 0.369 0.638
0.453 0.631 0.138
0.453 0.869 0.638
0.547 0.131 0.362
0.547 0.369 0.862
0.953 0.631 0.362
0.953 0.869 0.862
0.133 0.565 0.904
0.133 0.935 0.404
0.367 0.065 0.904
0.367 0.435 0.404
0.633 0.565 0.596
0.633 0.935 0.096
0.867 0.065 0.596
0.867 0.435 0.096
```

***

Structure and calculated PXRD pattern of MgCoIr2 (a cell relaxed with GGA-PBE; Cu Kα (λ = 1.5418 Å)).
Intensities are scaled so that the largest is 100.

Largest 12 diffraction maxima, low angle first, 2θ from 10° to 90°:
2θ/deg, d (Å), Rel. int.
20.3, 4.368, 100
38.5, 2.339, 42
38.8, 2.321, 20
40.3, 2.237, 47
40.5, 2.226, 92
41.3, 2.184, 42
47.1, 1.930, 60
47.8, 1.903, 27
52.2, 1.752, 16
68.6, 1.367, 19
83.2, 1.161, 19
84.1, 1.151, 20

Cell and atoms:
```
MgCoIr2
1.0
8.905 0.000 0.000
0.000 2.744 0.000
-0.917 0.000 4.643
Mg Co Ir
2 2 4
direct
0.000 0.000 0.000
0.500 0.500 0.000
0.000 0.500 0.500
0.500 0.000 0.500
0.240 0.000 0.738
0.260 0.500 0.262
0.740 0.500 0.738
0.760 0.000 0.262
```

***

Structure and calculated PXRD pattern of NaPb2O3 (a cell relaxed with GGA-PBE; Cu Kα (λ = 1.5418 Å)).
Intensities are scaled so that the largest is 100.

Largest 12 diffraction maxima, low angle first, 2θ from 10° to 90°:
2θ/deg, d (Å), Rel. int.
16.2, 5.456, 18
19.9, 4.463, 37
25.9, 3.440, 19
30.7, 2.915, 100
34.9, 2.568, 68
36.8, 2.445, 25
45.5, 1.992, 24
50.1, 1.819, 14
51.6, 1.771, 37
60.0, 1.542, 16
60.1, 1.540, 16
62.5, 1.487, 15

Cell and atoms:
```
NaPb2O3
1.0
3.624 0.000 0.000
0.000 4.890 0.000
0.000 0.000 10.911
Na Pb O
2 4 6
direct
0.000 0.000 0.000
0.500 0.500 0.500
0.000 0.000 0.340
0.000 0.000 0.660
0.500 0.500 0.160
0.500 0.500 0.840
0.000 0.500 0.000
0.000 0.500 0.325
0.000 0.500 0.675
0.500 0.000 0.175
0.500 0.000 0.500
0.500 0.000 0.825
```

***

Structure and calculated PXRD pattern of K2P2H2O7 (a cell relaxed with GGA-PBE; Cu Kα (λ = 1.5418 Å)).
Intensities are scaled so that the largest is 100.

Largest 12 diffraction maxima, low angle first, 2θ from 10° to 90°:
2θ/deg, d (Å), Rel. int.
12.5, 7.081, 77
12.7, 6.950, 75
15.8, 5.592, 57
24.9, 3.570, 55
25.3, 3.519, 46
25.6, 3.474, 72
26.3, 3.383, 76
27.0, 3.305, 100
27.9, 3.193, 50
28.1, 3.181, 48
28.7, 3.111, 50
29.9, 2.986, 52

Cell and atoms:
```
K2P2H2O7
1.0
8.305 0.000 0.000
0.181 8.347 0.000
1.021 1.368 11.185
K P H O
8 8 8 28
direct
0.123 0.201 0.074
0.212 0.371 0.422
0.259 0.795 0.550
0.317 0.721 0.048
0.683 0.279 0.952
0.741 0.205 0.450
0.788 0.629 0.578
0.877 0.799 0.926
0.014 0.787 0.285
0.127 0.503 0.798
0.288 0.047 0.786
0.442 0.363 0.699
0.558 0.637 0.301
0.712 0.953 0.214
0.873 0.497 0.202
0.986 0.213 0.715
0.233 0.007 0.320
0.403 0.052 0.352
0.437 0.382 0.166
0.487 0.202 0.182
0.513 0.798 0.818
0.563 0.618 0.834
0.597 0.948 0.648
0.767 0.993 0.680
0.027 0.636 0.739
0.028 0.331 0.813
0.044 0.693 0.402
0.139 0.901 0.219
0.157 0.115 0.693
0.185 0.513 0.918
0.209 0.991 0.908
0.275 0.472 0.697
0.287 0.057 0.380
0.389 0.210 0.799
0.396 0.933 0.722
0.431 0.282 0.128
0.432 0.549 0.248
0.474 0.314 0.576
0.526 0.686 0.424
0.568 0.451 0.752
0.569 0.718 0.872
0.604 0.067 0.278
0.611 0.790 0.201
0.713 0.943 0.620
0.725 0.528 0.303
0.791 0.009 0.092
0.815 0.487 0.082
0.843 0.885 0.307
0.861 0.099 0.781
0.956 0.307 0.598
0.972 0.669 0.187
0.973 0.364 0.261
```

***

Structure and calculated PXRD pattern of Pm4Y4In (a cell relaxed with GGA-PBE; Cu Kα (λ = 1.5418 Å)).
Intensities are scaled so that the largest is 100.

Largest 12 diffraction maxima, low angle first, 2θ from 10° to 90°:
2θ/deg, d (Å), Rel. int.
30.8, 2.906, 100
35.3, 2.545, 34
36.5, 2.463, 16
50.7, 1.800, 12
51.6, 1.770, 23
60.5, 1.530, 28
62.1, 1.494, 13
64.1, 1.453, 12
82.8, 1.166, 6
84.2, 1.149, 11
85.3, 1.138, 5
86.0, 1.131, 5

Cell and atoms:
```
Pm4Y4In
1.0
-5.399 5.399 2.463
5.399 -5.399 2.463
5.399 5.399 -2.463
Pm Y In
4 4 1
direct
0.000 0.335 0.335
0.000 0.665 0.665
0.335 0.000 0.335
0.665 0.000 0.665
0.340 0.340 0.680
0.340 0.660 0.000
0.660 0.340 0.000
0.660 0.660 0.320
0.000 0.000 0.000
```

***

Structure and calculated PXRD pattern of DyPaS2 (a cell relaxed with GGA-PBE; Cu Kα (λ = 1.5418 Å)).
Intensities are scaled so that the largest is 100.

Largest 12 diffraction maxima, low angle first, 2θ from 10° to 90°:
2θ/deg, d (Å), Rel. int.
27.7, 3.216, 24
28.1, 3.180, 47
28.3, 3.155, 23
32.5, 2.756, 100
46.3, 1.963, 25
46.6, 1.951, 12
46.7, 1.946, 12
47.0, 1.935, 24
55.5, 1.655, 16
58.0, 1.590, 13
68.0, 1.378, 12
76.9, 1.240, 11

Cell and atoms:
```
DyPaS2
1.0
3.902 -7.785 0.000
3.902 7.785 0.000
-3.791 0.000 5.513
Dy Pa S
4 4 8
direct
0.062 0.938 0.750
0.187 0.813 0.250
0.813 0.187 0.750
0.938 0.062 0.250
0.312 0.688 0.750
0.437 0.563 0.250
0.563 0.437 0.750
0.688 0.312 0.250
0.061 0.436 0.248
0.184 0.309 0.748
0.309 0.184 0.248
0.436 0.061 0.748
0.564 0.939 0.252
0.691 0.816 0.752
0.816 0.691 0.252
0.939 0.564 0.752
```

***

Structure and calculated PXRD pattern of Pu2ThSc12 (a cell relaxed with GGA-PBE; Cu Kα (λ = 1.5418 Å)).
Intensities are scaled so that the largest is 100.

Largest 12 diffraction maxima, low angle first, 2θ from 10° to 90°:
2θ/deg, d (Å), Rel. int.
11.2, 7.890, 24
15.0, 5.918, 23
21.5, 4.135, 42
24.3, 3.662, 29
26.3, 3.387, 70
30.6, 2.924, 23
31.5, 2.838, 18
32.7, 2.742, 34
34.2, 2.619, 100
43.8, 2.067, 21
51.8, 1.765, 30
56.7, 1.622, 21

Cell and atoms:
```
Pu2ThSc12
1.0
5.847 0.000 0.000
0.000 5.847 0.000
0.000 0.000 23.671
Pu Th Sc
4 2 24
direct
0.250 0.750 0.222
0.250 0.750 0.778
0.750 0.250 0.222
0.750 0.250 0.778
0.250 0.750 0.500
0.750 0.250 0.500
0.066 0.566 0.384
0.066 0.934 0.616
0.080 0.580 0.059
0.080 0.920 0.941
0.250 0.250 0.157
0.250 0.250 0.285
0.250 0.250 0.715
0.250 0.250 0.843
0.420 0.580 0.941
0.420 0.920 0.059
0.434 0.566 0.616
0.434 0.934 0.384
0.566 0.066 0.616
0.566 0.434 0.384
0.580 0.080 0.941
0.580 0.420 0.059
0.750 0.750 0.157
0.750 0.750 0.285
0.750 0.750 0.715
0.750 0.750 0.843
0.920 0.080 0.059
0.920 0.420 0.941
0.934 0.066 0.384
0.934 0.434 0.616
```